The following is a theoretical XRD peak list of SrZn4Cu9. It was derived from DFT lattice parameters and positions (PBE), using CuKα.

Peak list (10 most intense, 2θ from 5° to 70°, sorted by position)
14.96°, rel. 260
33.73°, rel. 120
33.88°, rel. 221
37.09°, rel. 285
37.21°, rel. 524
45.16°, rel. 420
45.33°, rel. 1000
45.92°, rel. 127
46.05°, rel. 184
48.69°, rel. 98

Cell and atoms:
Lattice parameters (Å, degrees): 8.3872 8.3872 8.3872 120.21 120.21 89.64
Sites, in units of the cell vectors:
Sr (0.2500, 0.2500, 0.0000)
Sr (0.7500, 0.7500, 0.0000)
Zn (0.0610, 0.5610, 0.8634)
Zn (0.1976, 0.0610, 0.5000)
Zn (0.3024, 0.8024, 0.8634)
Zn (0.4390, 0.3024, 0.5000)
Zn (0.5610, 0.6976, 0.5000)
Zn (0.6976, 0.1976, 0.1366)
Zn (0.8024, 0.9390, 0.5000)
Zn (0.9390, 0.4390, 0.1366)
Cu (0.0000, 0.5000, 0.5000)
Cu (0.0630, 0.2048, 0.2678)
Cu (0.0642, 0.7912, 0.5000)
Cu (0.2048, 0.9370, 0.1418)
Cu (0.2088, 0.7088, 0.2730)
Cu (0.2912, 0.5642, 0.5000)
Cu (0.2952, 0.4370, 0.7322)
Cu (0.4358, 0.9358, 0.7270)
Cu (0.4370, 0.7048, 0.1418)
Cu (0.5000, 0.0000, 0.5000)
Cu (0.5630, 0.2952, 0.8582)
Cu (0.5642, 0.0642, 0.2730)
Cu (0.7048, 0.5630, 0.2678)
Cu (0.7088, 0.4358, 0.5000)
Cu (0.7912, 0.2912, 0.7270)
Cu (0.7952, 0.0630, 0.8582)
Cu (0.9358, 0.2088, 0.5000)
Cu (0.9370, 0.7952, 0.7322)

=====

The following is a theoretical XRD peak list of SrZn6Cu6. It was derived from DFT lattice parameters and positions (PBE), using CuKα.

Peak list (10 most intense, 2θ from 5° to 70°, sorted by position)
34.97°, rel. 309
35.48°, rel. 216
40.08°, rel. 432
40.67°, rel. 671
40.91°, rel. 1000
41.62°, rel. 460
41.82°, rel. 442
45.24°, rel. 241
46.14°, rel. 222
46.64°, rel. 813

Cell and atoms:
Lattice parameters (Å, degrees): 6.7723 6.7723 6.7723 137.09 98.65 96.73
Sites, in units of the cell vectors:
Sr (0.0000, 0.0000, 0.0000)
Zn (0.2177, 0.7177, 0.5000)
Zn (0.3508, 0.0000, 0.3508)
Zn (0.3545, 0.3545, 0.0000)
Zn (0.6455, 0.6455, 0.0000)
Zn (0.6492, 0.0000, 0.6492)
Zn (0.7823, 0.2823, 0.5000)
Cu (0.0000, 0.0000, 0.5000)
Cu (0.0000, 0.5000, 0.0000)
Cu (0.2354, 0.5000, 0.7354)
Cu (0.5000, 0.0000, 0.0000)
Cu (0.5000, 0.5000, 0.5000)
Cu (0.7646, 0.5000, 0.2646)

=====

The following is a theoretical XRD peak list of SrZn7Cu5. It was derived from DFT lattice parameters and positions (PBE), using CuKα.

Peak list (10 most intense, 2θ from 5° to 70°, sorted by position)
34.90°, rel. 222
35.08°, rel. 187
39.89°, rel. 390
40.18°, rel. 399
40.47°, rel. 1000
41.77°, rel. 740
44.91°, rel. 183
45.52°, rel. 187
46.59°, rel. 689
68.32°, rel. 197

Cell and atoms:
Lattice parameters (Å, degrees): 6.8303 6.8303 6.8303 137.69 97.15 97.82
Sites, in units of the cell vectors:
Sr (0.0000, 0.0000, 0.0000)
Zn (0.2231, 0.4969, 0.7262)
Zn (0.3438, 0.9895, 0.3543)
Zn (0.3479, 0.3479, 0.0000)
Zn (0.6352, 0.9895, 0.6457)
Zn (0.6428, 0.6428, 0.0000)
Zn (0.7615, 0.2615, 0.5000)
Zn (0.7707, 0.4969, 0.2738)
Cu (0.2295, 0.7295, 0.5000)
Cu (0.4948, 0.4952, 0.5001)
Cu (0.4948, 0.9948, 0.9997)
Cu (0.9951, 0.4952, 0.0003)
Cu (0.9951, 0.9948, 0.4999)

=====

The following is a theoretical XRD peak list of Sr3Zn4Cu4. It was derived from DFT lattice parameters and positions (PBE), using CuKα.

Peak list (10 most intense, 2θ from 5° to 70°, sorted by position)
7.06°, rel. 348
29.57°, rel. 311
31.64°, rel. 393
31.82°, rel. 1000
32.21°, rel. 661
32.33°, rel. 665
38.39°, rel. 771
40.17°, rel. 612
41.52°, rel. 662
44.93°, rel. 235

Cell and atoms:
Lattice parameters (Å, degrees): 4.3502 4.4907 12.8624 98.82 99.66 90.13
Sites, in units of the cell vectors:
Sr (0.0000, 0.0000, 0.0000)
Sr (0.3489, 0.8627, 0.6980)
Sr (0.6511, 0.1373, 0.3020)
Zn (0.2058, 0.6557, 0.4088)
Zn (0.4468, 0.4508, 0.8952)
Zn (0.5532, 0.5492, 0.1048)
Zn (0.7942, 0.3443, 0.5912)
Cu (0.1036, 0.5889, 0.2052)
Cu (0.2468, 0.1880, 0.4970)
Cu (0.7532, 0.8120, 0.5030)
Cu (0.8964, 0.4111, 0.7948)

=====

The following is a theoretical XRD peak list of Sr4ZnCu. It was derived from DFT lattice parameters and positions (PBE), using CuKα.

Peak list (10 most intense, 2θ from 5° to 70°, sorted by position)
12.59°, rel. 121
23.48°, rel. 93
29.65°, rel. 1000
32.17°, rel. 550
39.39°, rel. 271
41.39°, rel. 94
46.14°, rel. 197
55.81°, rel. 323
62.24°, rel. 135
62.51°, rel. 137

Cell and atoms:
Lattice parameters (Å, degrees): 3.9344 3.9344 14.0586 90.00 90.00 90.00
Sites, in units of the cell vectors:
Sr (0.0000, 0.0000, 0.1290)
Sr (0.0000, 0.0000, 0.8710)
Sr (0.5000, 0.5000, 0.3640)
Sr (0.5000, 0.5000, 0.6360)
Zn (0.0000, 0.0000, 0.5000)
Cu (0.5000, 0.5000, 0.0000)

=====

The following is a theoretical XRD peak list of Sr2Zn15Cu2. It was derived from DFT lattice parameters and positions (PBE), using CuKα.

Peak list (10 most intense, 2θ from 5° to 70°, sorted by position)
12.99°, rel. 179
34.03°, rel. 295
35.03°, rel. 304
39.50°, rel. 728
39.68°, rel. 1000
40.22°, rel. 429
40.56°, rel. 233
44.56°, rel. 700
45.05°, rel. 180
57.64°, rel. 175

Cell and atoms:
Lattice parameters (Å, degrees): 6.9187 6.9187 6.9187 82.52 82.52 82.52
Sites, in units of the cell vectors:
Sr (0.1608, 0.1608, 0.1608)
Sr (0.8392, 0.8392, 0.8392)
Zn (0.0000, 0.5000, 0.5000)
Zn (0.1567, 0.1567, 0.6510)
Zn (0.1567, 0.6510, 0.1567)
Zn (0.2171, 0.5000, 0.7829)
Zn (0.2171, 0.7829, 0.5000)
Zn (0.3490, 0.8433, 0.8433)
Zn (0.5000, 0.0000, 0.5000)
Zn (0.5000, 0.2171, 0.7829)
Zn (0.5000, 0.5000, 0.0000)
Zn (0.5000, 0.7829, 0.2171)
Zn (0.6510, 0.1567, 0.1567)
Zn (0.7829, 0.2171, 0.5000)
Zn (0.7829, 0.5000, 0.2171)
Zn (0.8433, 0.3490, 0.8433)
Zn (0.8433, 0.8433, 0.3490)
Cu (0.4032, 0.4032, 0.4032)
Cu (0.5968, 0.5968, 0.5968)

=====

The following is a theoretical XRD peak list of Ta5Cu. It was derived from DFT lattice parameters and positions (PBE), using CuKα.

Peak list (10 most intense, 2θ from 5° to 70°, sorted by position)
6.54°, rel. 36
33.15°, rel. 74
34.82°, rel. 80
37.96°, rel. 1000
40.03°, rel. 174
46.06°, rel. 312
57.91°, rel. 62
62.64°, rel. 187
64.50°, rel. 88
67.18°, rel. 101

Cell and atoms:
Lattice parameters (Å, degrees): 2.7871 2.7871 13.5140 90.00 90.00 90.00
Sites, in units of the cell vectors:
Ta (0.0000, 0.0000, 0.0000)
Ta (0.0000, 0.0000, 0.3526)
Ta (0.0000, 0.0000, 0.6474)
Ta (0.5000, 0.5000, 0.1790)
Ta (0.5000, 0.5000, 0.8210)
Cu (0.5000, 0.5000, 0.5000)

=====

The following is a theoretical XRD peak list of Ta3Cu4. It was derived from DFT lattice parameters and positions (PBE), using CuKα.

Peak list (10 most intense, 2θ from 5° to 70°, sorted by position)
8.82°, rel. 71
17.69°, rel. 140
30.79°, rel. 288
39.53°, rel. 624
42.19°, rel. 1000
43.61°, rel. 60
57.14°, rel. 209
61.58°, rel. 73
65.10°, rel. 60
66.31°, rel. 70

Cell and atoms:
Lattice parameters (Å, degrees): 3.2243 3.2243 20.0602 90.00 90.00 90.00
Sites, in units of the cell vectors:
Ta (0.0000, 0.0000, 0.0000)
Ta (0.0000, 0.0000, 0.2894)
Ta (0.0000, 0.0000, 0.7106)
Ta (0.5000, 0.5000, 0.2106)
Ta (0.5000, 0.5000, 0.5000)
Ta (0.5000, 0.5000, 0.7894)
Cu (0.0000, 0.0000, 0.1343)
Cu (0.0000, 0.0000, 0.4265)
Cu (0.0000, 0.0000, 0.5735)
Cu (0.0000, 0.0000, 0.8657)
Cu (0.5000, 0.5000, 0.0735)
Cu (0.5000, 0.5000, 0.3657)
Cu (0.5000, 0.5000, 0.6343)
Cu (0.5000, 0.5000, 0.9265)

=====

The following is a theoretical XRD peak list of Ta4Cu. It was derived from DFT lattice parameters and positions (PBE), using CuKα.

Peak list (10 most intense, 2θ from 5° to 70°, sorted by position)
17.61°, rel. 61
28.98°, rel. 55
35.66°, rel. 30
38.64°, rel. 1000
40.04°, rel. 463
46.58°, rel. 22
53.63°, rel. 109
57.91°, rel. 155
60.02°, rel. 21
68.98°, rel. 187

Cell and atoms:
Lattice parameters (Å, degrees): 7.1217 7.1217 3.4178 90.00 90.00 90.00
Sites, in units of the cell vectors:
Ta (0.0918, 0.7033, 0.0000)
Ta (0.2033, 0.4082, 0.5000)
Ta (0.2967, 0.0918, 0.0000)
Ta (0.4082, 0.7967, 0.5000)
Ta (0.5918, 0.2033, 0.5000)
Ta (0.7033, 0.9082, 0.0000)
Ta (0.7967, 0.5918, 0.5000)
Ta (0.9082, 0.2967, 0.0000)
Cu (0.0000, 0.0000, 0.5000)
Cu (0.5000, 0.5000, 0.0000)

=====

The following is a theoretical XRD peak list of TaCu. It was derived from DFT lattice parameters and positions (PBE), using CuKα.

Peak list (10 most intense, 2θ from 5° to 70°, sorted by position)
30.55°, rel. 224
32.59°, rel. 167
33.86°, rel. 139
39.07°, rel. 1000
40.74°, rel. 948
43.54°, rel. 806
51.80°, rel. 176
56.27°, rel. 147
65.64°, rel. 124
69.92°, rel. 265

Cell and atoms:
Lattice parameters (Å, degrees): 11.0205 2.8447 6.0887 90.00 106.09 90.00
Sites, in units of the cell vectors:
Ta (0.0000, 0.0000, 0.0000)
Ta (0.0276, 0.0000, 0.5271)
Ta (0.3203, 0.0000, 0.6597)
Ta (0.5000, 0.5000, 0.0000)
Ta (0.5276, 0.5000, 0.5271)
Ta (0.8203, 0.5000, 0.6597)
Cu (0.1792, 0.5000, 0.3061)
Cu (0.1942, 0.5000, 0.8978)
Cu (0.3470, 0.0000, 0.2030)
Cu (0.6792, 0.0000, 0.3061)
Cu (0.6942, 0.0000, 0.8978)
Cu (0.8470, 0.5000, 0.2030)

=====

The following is a theoretical XRD peak list of Ta5Cu4. It was derived from DFT lattice parameters and positions (PBE), using CuKα.

Peak list (10 most intense, 2θ from 5° to 70°, sorted by position)
13.20°, rel. 110
28.32°, rel. 296
40.34°, rel. 1000
40.63°, rel. 914
50.02°, rel. 66
53.10°, rel. 65
56.17°, rel. 48
58.59°, rel. 309
66.13°, rel. 60
69.34°, rel. 66

Cell and atoms:
Lattice parameters (Å, degrees): 7.7444 7.7444 5.4208 90.00 90.00 120.00
Sites, in units of the cell vectors:
Ta (0.0000, 0.3290, 0.2500)
Ta (0.0000, 0.6710, 0.7500)
Ta (0.3290, 0.0000, 0.2500)
Ta (0.3290, 0.3290, 0.7500)
Ta (0.3333, 0.6667, 0.0000)
Ta (0.3333, 0.6667, 0.5000)
Ta (0.6667, 0.3333, 0.0000)
Ta (0.6667, 0.3333, 0.5000)
Ta (0.6710, 0.0000, 0.7500)
Ta (0.6710, 0.6710, 0.2500)
Cu (0.0000, 0.0000, 0.0000)
Cu (0.0000, 0.0000, 0.5000)
Cu (0.0000, 0.3336, 0.7500)
Cu (0.0000, 0.6664, 0.2500)
Cu (0.3336, 0.0000, 0.7500)
Cu (0.3336, 0.3336, 0.2500)
Cu (0.6664, 0.0000, 0.2500)
Cu (0.6664, 0.6664, 0.7500)

=====

The following is a theoretical XRD peak list of Ta5Cu4. It was derived from DFT lattice parameters and positions (PBE), using CuKα.

Peak list (10 most intense, 2θ from 5° to 70°, sorted by position)
13.60°, rel. 179
19.28°, rel. 24
27.40°, rel. 75
34.57°, rel. 118
39.88°, rel. 1000
41.62°, rel. 440
50.55°, rel. 30
54.95°, rel. 99
60.32°, rel. 143
60.86°, rel. 46

Cell and atoms:
Lattice parameters (Å, degrees): 6.7210 6.7210 6.7210 93.54 93.54 151.21
Sites, in units of the cell vectors:
Ta (0.0000, 0.0000, 0.0000)
Ta (0.3314, 0.3314, 0.6629)
Ta (0.3314, 0.6686, 0.0000)
Ta (0.6686, 0.3314, 0.0000)
Ta (0.6686, 0.6686, 0.3371)
Cu (0.0000, 0.3469, 0.3469)
Cu (0.0000, 0.6531, 0.6531)
Cu (0.3469, 0.0000, 0.3469)
Cu (0.6531, 0.0000, 0.6531)

=====

The following is a theoretical XRD peak list of TaCu3. It was derived from DFT lattice parameters and positions (PBE), using CuKα.

Peak list (10 most intense, 2θ from 5° to 70°, sorted by position)
10.31°, rel. 411
20.70°, rel. 124
31.26°, rel. 82
37.82°, rel. 304
39.30°, rel. 162
42.11°, rel. 227
43.49°, rel. 1000
57.87°, rel. 173
67.25°, rel. 59
68.29°, rel. 163

Cell and atoms:
Lattice parameters (Å, degrees): 2.7471 2.7471 8.5836 90.00 90.00 120.00
Sites, in units of the cell vectors:
Ta (0.0000, 0.0000, 0.0000)
Cu (0.0000, 0.0000, 0.5000)
Cu (0.3333, 0.6667, 0.2660)
Cu (0.3333, 0.6667, 0.7340)

=====

The following is a theoretical XRD peak list of TaCuTc. It was derived from DFT lattice parameters and positions (PBE), using CuKα.

Peak list (10 most intense, 2θ from 5° to 70°, sorted by position)
21.30°, rel. 147
24.03°, rel. 295
35.80°, rel. 108
39.04°, rel. 1000
40.66°, rel. 894
43.80°, rel. 361
46.35°, rel. 83
47.59°, rel. 564
66.66°, rel. 403
67.34°, rel. 97

Cell and atoms:
Lattice parameters (Å, degrees): 2.6298 4.1335 8.3434 90.00 90.00 90.00
Sites, in units of the cell vectors:
Ta (0.0000, 0.0000, 0.0000)
Ta (0.5000, 0.5000, 0.5000)
Cu (0.0000, 0.0000, 0.6683)
Cu (0.5000, 0.5000, 0.1683)
Tc (0.0000, 0.0000, 0.3269)
Tc (0.5000, 0.5000, 0.8269)